No. 1
This entry pairs a crystal structure of MnAsO4 with its theoretical powder X-ray diffraction pattern. Radiation: Cu Kα (λ = 1.5418 Å). Structure: a DFT-relaxed cell (GGA+U, Alexandria).
Neutral-atom scattering factors, no anomalous dispersion.

Main lines, in order of falling intensity (2θ from 10° to 90°):
two_theta	Rel. int.
34.83	100.0
23.64	98.7
25.15	95.6
23.48	81.7
32.71	79.9
32.26	48.6
36.77	26.6
61.39	24.3

Atomic structure:
```
data_MnAsO4
_chemical_formula_sum 'Mn4 As4 O16'
_cell_length_a 4.903
_cell_length_b 9.093
_cell_length_c 8.135
_cell_angle_alpha 90.00
_cell_angle_beta 122.54
_cell_angle_gamma 90.00
_space_group_name_H-M_alt 'P 1 21/c 1'
_space_group_IT_number 14
_space_group_name_Hall '-P 2ybc'
loop_
_atom_site_label
_atom_site_fract_x
_atom_site_fract_y
_atom_site_fract_z
Mn1 0.000 0.000 0.000
Mn2 0.500 0.000 0.500
As1 0.180 0.179 0.717
O1 0.146 0.130 0.228
O2 0.175 0.625 0.988
O3 0.244 0.123 0.936
O4 0.489 0.620 0.787
```



No. 2
This entry pairs a crystal structure of MnAs2O4 with its theoretical powder X-ray diffraction pattern. Radiation: Cu Kα (λ = 1.5418 Å). Structure: a DFT-relaxed cell (GGA+U, Alexandria).
Neutral-atom scattering factors, no anomalous dispersion.

Main lines, in order of falling intensity (2θ from 10° to 90°):
two_theta	Rel. int.
27.35	100.0
45.44	49.7
28.88	41.6
36.73	40.6
14.32	36.5
54.28	28.3
20.31	25.7
52.03	23.6

Atomic structure:
```
data_MnAs2O4
_chemical_formula_sum 'Mn4 As8 O16'
_cell_length_a 8.744
_cell_length_b 8.744
_cell_length_c 5.905
_cell_angle_alpha 90.00
_cell_angle_beta 90.00
_cell_angle_gamma 90.00
_space_group_name_H-M_alt 'P 42/m b c'
_space_group_IT_number 135
_space_group_name_Hall '-P 4c 2ab'
loop_
_atom_site_label
_atom_site_fract_x
_atom_site_fract_y
_atom_site_fract_z
Mn1 0.000 0.500 0.250
As1 0.176 0.192 0.000
O1 0.111 0.362 0.500
O2 0.186 0.686 0.250
```



No. 3
This entry pairs a crystal structure of Mn3As2O14 with its theoretical powder X-ray diffraction pattern. Radiation: Cu Kα (λ = 1.5418 Å). Structure: a DFT-relaxed cell (GGA+U, Alexandria).
Neutral-atom scattering factors, no anomalous dispersion.

Main lines, in order of falling intensity (2θ from 10° to 90°):
two_theta	Rel. int.
17.87	100.0
27.86	79.0
17.97	71.2
33.05	45.0
25.99	34.6
36.39	29.2
22.11	26.3
19.12	19.1

Atomic structure:
```
data_Mn3As2O14
_chemical_formula_sum 'Mn3 As2 O14'
_cell_length_a 5.450
_cell_length_b 5.456
_cell_length_c 9.688
_cell_angle_alpha 96.73
_cell_angle_beta 90.19
_cell_angle_gamma 114.17
_space_group_name_H-M_alt 'P 1'
_space_group_IT_number 1
_space_group_name_Hall 'P 1'
loop_
_atom_site_label
_atom_site_fract_x
_atom_site_fract_y
_atom_site_fract_z
Mn1 0.000 0.000 0.000
Mn2 0.093 0.297 0.489
Mn3 0.593 0.797 0.488
As1 0.091 0.723 0.288
As2 0.092 0.868 0.687
O1 0.016 0.705 0.117
O2 0.169 0.849 0.855
O3 0.244 0.188 0.639
O4 0.250 0.677 0.586
O5 0.258 0.218 0.092
O6 0.428 0.433 0.411
O7 0.429 0.891 0.337
O8 0.677 0.671 0.966
O9 0.722 0.034 0.084
O10 0.756 0.696 0.636
O11 0.757 0.159 0.565
O12 0.887 0.138 0.881
O13 0.937 0.918 0.391
O14 0.942 0.405 0.339
```



No. 4
This entry pairs a crystal structure of MnAsPb2O4 with its theoretical powder X-ray diffraction pattern. Radiation: Cu Kα (λ = 1.5418 Å). Structure: a DFT-relaxed cell (GGA+U, Alexandria).
Neutral-atom scattering factors, no anomalous dispersion.

Main lines, in order of falling intensity (2θ from 10° to 90°):
two_theta	Rel. int.
29.68	100.0
33.28	73.3
31.76	56.7
38.53	37.4
39.01	35.5
14.72	33.1
51.15	29.3
52.99	25.2

Atomic structure:
```
data_MnAsPb2O4
_chemical_formula_sum 'Mn4 As4 Pb8 O16'
_cell_length_a 9.505
_cell_length_b 9.236
_cell_length_c 6.748
_cell_angle_alpha 90.00
_cell_angle_beta 123.39
_cell_angle_gamma 90.00
_space_group_name_H-M_alt 'C 1 2/c 1'
_space_group_IT_number 15
_space_group_name_Hall '-C 2yc'
loop_
_atom_site_label
_atom_site_fract_x
_atom_site_fract_y
_atom_site_fract_z
Mn1 0.000 0.000 0.000
As1 0.250 0.250 0.000
Pb1 0.000 0.500 0.000
Pb2 0.250 0.250 0.500
O1 0.050 0.230 0.047
O2 0.189 0.029 0.875
```



No. 5
This entry pairs a crystal structure of RbMnAsO3 with its theoretical powder X-ray diffraction pattern. Radiation: Cu Kα (λ = 1.5418 Å). Structure: a DFT-relaxed cell (GGA+U, Alexandria).
Neutral-atom scattering factors, no anomalous dispersion.

Main lines, in order of falling intensity (2θ from 10° to 90°):
two_theta	Rel. int.
31.72	100.0
28.39	70.3
30.98	63.9
14.09	51.8
24.39	47.6
21.76	47.6
37.13	47.4
41.90	46.6

Atomic structure:
```
data_RbMnAsO3
_chemical_formula_sum 'Rb4 Mn4 As4 O12'
_cell_length_a 4.313
_cell_length_b 12.574
_cell_length_c 8.172
_cell_angle_alpha 90.00
_cell_angle_beta 90.00
_cell_angle_gamma 90.00
_space_group_name_H-M_alt 'C m c m'
_space_group_IT_number 63
_space_group_name_Hall '-C 2c 2'
loop_
_atom_site_label
_atom_site_fract_x
_atom_site_fract_y
_atom_site_fract_z
Rb1 0.000 0.247 0.250
Mn1 0.000 0.500 0.000
As1 0.000 0.024 0.750
O1 0.000 0.111 0.576
O2 0.000 0.496 0.250
```



No. 6
This entry pairs a crystal structure of RbMnAsO6 with its theoretical powder X-ray diffraction pattern. Radiation: Cu Kα (λ = 1.5418 Å). Structure: a DFT-relaxed cell (GGA+U, Alexandria).
Neutral-atom scattering factors, no anomalous dispersion.

Main lines, in order of falling intensity (2θ from 10° to 90°):
two_theta	Rel. int.
24.74	100.0
45.84	42.2
13.58	30.1
36.05	20.9
58.32	16.1
27.36	14.8
44.22	14.5
46.80	12.9

Atomic structure:
```
data_RbMnAsO6
_chemical_formula_sum 'Rb1 Mn1 As1 O6'
_cell_length_a 4.9827
_cell_length_b 4.9827
_cell_length_c 6.5205
_cell_angle_alpha 90.00
_cell_angle_beta 90.00
_cell_angle_gamma 120.00
_space_group_name_H-M_alt 'P 3 1 2'
_space_group_IT_number 149
_space_group_name_Hall 'P 3 2'
loop_
_atom_site_label
_atom_site_fract_x
_atom_site_fract_y
_atom_site_fract_z
Rb1 0.0000 0.0000 0.0000
Mn1 0.6667 0.3333 0.5000
As1 0.3333 0.6667 0.5000
O1 0.0085 0.3811 0.3391
```